For Li3Fe3CoO8, a crystal structure in the Materials Project, relaxed with PBE+U gives the computed powder XRD pattern in this record (Cu Kα, 1.54184 Å).
Kinematic intensities with the Lorentz-polarization factor, no thermal factor.

Crystal structure
Cell: 5.9446 5.9446 5.9446 Å, 59.65 59.65 59.65°
Fractional positions:
1 Li 0.0000 0.5000 0.5000
2 Li 0.5000 0.0000 0.5000
3 Li 0.5000 0.5000 0.0000
4 Fe 0.0000 0.0000 0.5000
5 Fe 0.0000 0.5000 0.0000
6 Fe 0.5000 0.0000 0.0000
7 Co 0.5000 0.5000 0.5000
8 O 0.2428 0.2428 0.2428
9 O 0.2604 0.7275 0.7275
10 O 0.2725 0.2725 0.7396
11 O 0.2725 0.7396 0.2725
12 O 0.7275 0.2604 0.7275
13 O 0.7275 0.7275 0.2604
14 O 0.7396 0.2725 0.2725
15 O 0.7572 0.7572 0.7572

The 10 most intense peaks (10° ≤ 2θ ≤ 90°), sorted by position:
d_spacing, I_rel
4.866, 1000
2.522, 394
2.416, 119
2.096, 672
1.925, 123
1.617, 146
1.486, 176
1.478, 184
1.415, 143
1.208, 82


For Li8Fe9CoO20, a crystal structure in the Materials Project, relaxed with PBE+U gives the computed powder XRD pattern in this record (Cu Kα, 1.54184 Å).
Kinematic intensities with the Lorentz-polarization factor, no thermal factor.

Crystal structure
Cell: 5.9684 2.9562 21.3588 Å, 90.00 97.69 90.00°
Fractional positions:
1 Li 0.0987 0.0000 0.1985
2 Li 0.0992 0.5000 0.7009
3 Li 0.3026 0.0000 0.5951
4 Li 0.3037 0.5000 0.0976
5 Li 0.6963 0.5000 0.9024
6 Li 0.6974 0.0000 0.4049
7 Li 0.9013 0.0000 0.8015
8 Li 0.9008 0.5000 0.2991
9 Fe 0.0000 0.0000 0.0000
10 Fe 0.2102 0.5000 0.9014
11 Fe 0.2148 0.0000 0.4048
12 Fe 0.3974 0.5000 0.3009
13 Fe 0.3997 0.0000 0.7988
14 Fe 0.6003 0.0000 0.2012
15 Fe 0.6026 0.5000 0.6991
16 Fe 0.7852 0.0000 0.5952
17 Fe 0.7898 0.5000 0.0986
18 Co 0.0000 0.5000 0.5000
19 O 0.0266 0.5000 0.5900
20 O 0.0293 0.0000 0.0975
21 O 0.1612 0.0000 0.3059
22 O 0.1640 0.5000 0.8023
23 O 0.2054 0.0000 0.4997
24 O 0.2159 0.5000 0.9984
25 O 0.3632 0.0000 0.7016
26 O 0.3627 0.5000 0.2041
27 O 0.4373 0.5000 0.3968
28 O 0.4375 0.0000 0.8944
29 O 0.5625 0.0000 0.1056
30 O 0.5627 0.5000 0.6032
31 O 0.6368 0.0000 0.2984
32 O 0.6373 0.5000 0.7959
33 O 0.7841 0.5000 0.0016
34 O 0.7946 0.0000 0.5003
35 O 0.8360 0.5000 0.1977
36 O 0.8388 0.0000 0.6941
37 O 0.9707 0.0000 0.9025
38 O 0.9734 0.5000 0.4100

The 10 most intense peaks (10° ≤ 2θ ≤ 90°), sorted by position:
d_spacing, I_rel
4.892, 1000
2.546, 137
2.526, 271
2.424, 80
2.117, 239
2.100, 471
1.934, 131
1.621, 94
1.493, 184
1.488, 131


For Li4Fe3CoO8, a crystal structure in the Materials Project, relaxed with PBE+U gives the computed powder XRD pattern in this record (Cu Kα, 1.54184 Å).
Kinematic intensities with the Lorentz-polarization factor, no thermal factor.

Crystal structure
Cell: 5.9448 5.9448 5.9448 Å, 59.35 59.35 59.35°
Fractional positions:
1 Li 0.0000 0.0000 0.0000
2 Li 0.0000 0.5000 0.5000
3 Li 0.5000 0.0000 0.5000
4 Li 0.5000 0.5000 0.0000
5 Fe 0.0000 0.0000 0.5000
6 Fe 0.0000 0.5000 0.0000
7 Fe 0.5000 0.0000 0.0000
8 Co 0.5000 0.5000 0.5000
9 O 0.2435 0.2435 0.2435
10 O 0.2514 0.7371 0.7371
11 O 0.2629 0.2629 0.7486
12 O 0.2629 0.7486 0.2629
13 O 0.7371 0.2514 0.7371
14 O 0.7371 0.7371 0.2514
15 O 0.7486 0.2629 0.2629
16 O 0.7565 0.7565 0.7565

The 10 most intense peaks (10° ≤ 2θ ≤ 90°), sorted by position:
d_spacing, I_rel
4.878, 1000
2.511, 417
2.407, 136
2.091, 770
1.922, 142
1.616, 141
1.486, 210
1.472, 210
1.409, 142
1.203, 95


For Li2FeCo2O6, a crystal structure in the Materials Project, relaxed with PBE+U gives the computed powder XRD pattern in this record (Cu Kα, 1.54184 Å).
Kinematic intensities with the Lorentz-polarization factor, no thermal factor.

Crystal structure
Cell: 9.9910 4.9275 4.9275 Å, 60.43 90.00 90.00°
Fractional positions:
1 Li 0.2487 0.0863 0.9137
2 Li 0.2513 0.5863 0.4137
3 Li 0.7487 0.4137 0.5863
4 Li 0.7513 0.9137 0.0863
5 Fe 0.0000 0.7506 0.7506
6 Fe 0.5000 0.2506 0.2506
7 Co 0.0000 0.0852 0.0852
8 Co 0.0000 0.4142 0.4142
9 Co 0.5000 0.5852 0.5852
10 Co 0.5000 0.9142 0.9142
11 O 0.0970 0.0889 0.4168
12 O 0.1026 0.4093 0.7425
13 O 0.1029 0.7510 0.0931
14 O 0.3971 0.2510 0.5931
15 O 0.3974 0.9093 0.2425
16 O 0.4030 0.5889 0.9168
17 O 0.5970 0.9168 0.5889
18 O 0.6026 0.2425 0.9093
19 O 0.6029 0.5931 0.2510
20 O 0.8971 0.0931 0.7510
21 O 0.8974 0.7425 0.4093
22 O 0.9030 0.4168 0.0889

The 10 most intense peaks (10° ≤ 2θ ≤ 90°), sorted by position:
d_spacing, I_rel
4.996, 1000
2.480, 73
2.392, 284
2.221, 147
2.210, 67
1.981, 296
1.760, 128
1.552, 163
1.414, 140
1.235, 61


For Li4Fe3CoP4O16, a crystal structure in the Materials Project, relaxed with PBE+U gives the computed powder XRD pattern in this record (Cu Kα, 1.54184 Å).
Kinematic intensities with the Lorentz-polarization factor, no thermal factor.

Crystal structure
Cell: 4.7408 6.0598 10.4013 Å, 90.00 90.10 90.00°
Fractional positions:
1 Li 0.0000 0.2503 0.0000
2 Li 0.0000 0.7497 0.0000
3 Li 0.5002 0.2502 0.4991
4 Li 0.5002 0.7498 0.4991
5 Fe 0.0262 0.0000 0.7175
6 Fe 0.4751 0.0000 0.2190
7 Fe 0.5258 0.5000 0.7810
8 Co 0.9758 0.5000 0.2798
9 P 0.0826 0.5000 0.5936
10 P 0.4179 0.5000 0.0948
11 P 0.5827 0.0000 0.9050
12 P 0.9174 0.0000 0.4042
13 O 0.2064 0.5000 0.4555
14 O 0.2174 0.2962 0.6651
15 O 0.2174 0.7038 0.6651
16 O 0.2420 0.0000 0.4023
17 O 0.2583 0.0000 0.9021
18 O 0.2831 0.2962 0.1655
19 O 0.2831 0.7038 0.1655
20 O 0.2938 0.5000 0.9560
21 O 0.7066 0.0000 0.0433
22 O 0.7173 0.2038 0.8340
23 O 0.7173 0.7962 0.8340
24 O 0.7423 0.5000 0.0972
25 O 0.7583 0.5000 0.5970
26 O 0.7833 0.2042 0.3337
27 O 0.7833 0.7958 0.3337
28 O 0.7941 0.0000 0.5431

The 10 most intense peaks (10° ≤ 2θ ≤ 90°), sorted by position:
d_spacing, I_rel
5.201, 347
4.314, 579
3.514, 856
3.030, 755
2.799, 283
2.541, 1000
2.479, 290
1.757, 362
1.638, 239
1.515, 227


For Li5Fe3Co2P6O24, a crystal structure in the Materials Project, relaxed with PBE+U gives the computed powder XRD pattern in this record (Cu Kα, 1.54184 Å).
Kinematic intensities with the Lorentz-polarization factor, no thermal factor.

Crystal structure
Cell: 8.4422 8.5411 8.5520 Å, 62.02 62.33 62.48°
Fractional positions:
1 Li 0.0000 0.0000 0.0000
2 Li 0.0151 0.3465 0.8279
3 Li 0.1027 0.8326 0.5255
4 Li 0.1880 0.3319 0.4801
5 Li 0.6666 0.5170 0.8145
6 Fe 0.2089 0.5346 0.0157
7 Fe 0.5031 0.8337 0.3098
8 Fe 0.7105 0.0457 0.5207
9 Co 0.3658 0.6877 0.1627
10 Co 0.8492 0.1912 0.6698
11 P 0.1041 0.1339 0.2144
12 P 0.3046 0.9316 0.7063
13 P 0.4100 0.4312 0.6135
14 P 0.6017 0.2315 0.1249
15 P 0.8010 0.7360 0.9167
16 P 0.9090 0.6494 0.4144
17 O 0.0392 0.1610 0.0649
18 O 0.1112 0.6106 0.2642
19 O 0.1162 0.0967 0.7171
20 O 0.1679 0.2962 0.1714
21 O 0.2570 0.9334 0.2457
22 O 0.2580 0.3651 0.6416
23 O 0.2825 0.7845 0.9093
24 O 0.3269 0.8563 0.5631
25 O 0.3663 0.4942 0.7761
26 O 0.4251 0.5959 0.4224
27 O 0.4580 0.4370 0.0912
28 O 0.4776 0.9853 0.6508
29 O 0.5103 0.0867 0.1831
30 O 0.6048 0.7637 0.0731
31 O 0.6081 0.2772 0.6018
32 O 0.6718 0.1923 0.2795
33 O 0.7488 0.7242 0.3361
34 O 0.7602 0.2317 0.9336
35 O 0.8043 0.9281 0.7541
36 O 0.8262 0.5860 0.8534
37 O 0.8970 0.7982 0.4772
38 O 0.9008 0.4593 0.5721
39 O 0.9558 0.1150 0.4174
40 O 0.9644 0.6893 0.9836

The 10 most intense peaks (10° ≤ 2θ ≤ 90°), sorted by position:
d_spacing, I_rel
4.401, 1000
3.724, 636
3.698, 612
3.676, 620
2.856, 242
2.716, 457
2.698, 406
2.678, 383
2.541, 680
1.664, 333